Entry 1:
Starting from a crystal structure in the Materials Project, relaxed with GGA-PBE, the powder X-ray diffraction pattern of LiBi2O4 was simulated for Cu Kα.
Intensities are scaled so that the largest is 100.

Cell and atoms:
```
data_LiBi2O4
_cell_length_a 5.5160
_cell_length_b 6.1233
_cell_length_c 11.5932
_cell_angle_alpha 90.00
_cell_angle_beta 90.00
_cell_angle_gamma 90.00
_space_group_name_H-M_alt 'P b c a'
_space_group_IT_number 61
_space_group_name_Hall '-P 2ac 2ab'
loop_
_atom_site_label
_atom_site_type_symbol
_atom_site_fract_x
_atom_site_fract_y
_atom_site_fract_z
_atom_site_occupancy
Li1 Li 0.0000 0.0000 0.0000 1
Bi1 Bi 0.0089 0.0978 0.3603 1
O1 O 0.1593 0.5591 0.6878 1
O2 O 0.1781 0.6762 0.9646 1
```

Largest 10 diffraction maxima, by angle, 2θ from 10° to 90°:
| index | 2θ (°) | intensity |
| --- | --- | --- |
| 1 1 1 | 23.02 | 100 |
| 1 1 2 | 26.64 | 87 |
| 0 2 1 | 30.19 | 43 |
| 0 0 4 | 30.85 | 36 |
| 1 1 3 | 31.83 | 79 |
| 2 0 0 | 32.46 | 35 |
| 2 2 1 | 44.92 | 45 |
| 2 0 4 | 45.39 | 30 |
| 1 3 2 | 50.19 | 48 |
| 2 2 5 | 60.27 | 42 |

=====

Entry 2:
Starting from a crystal structure in the Materials Project, relaxed with GGA-PBE, the powder X-ray diffraction pattern of PmMgRh2 was simulated for Cu Kα.
Intensities are scaled so that the largest is 100.

Cell and atoms:
```
data_PmMgRh2
_cell_length_a 6.6864
_cell_length_b 6.6864
_cell_length_c 6.6864
_cell_angle_alpha 90.00
_cell_angle_beta 90.00
_cell_angle_gamma 90.00
_space_group_name_H-M_alt 'F m -3 m'
_space_group_IT_number 225
_space_group_name_Hall '-F 4 2 3'
loop_
_atom_site_label
_atom_site_type_symbol
_atom_site_fract_x
_atom_site_fract_y
_atom_site_fract_z
_atom_site_occupancy
Pm1 Pm 0.0000 0.0000 0.0000 1
Mg1 Mg 0.0000 0.0000 0.5000 1
Rh1 Rh 0.2500 0.2500 0.2500 1
```

Largest 10 diffraction maxima, by angle, 2θ from 10° to 90°:
| index | 2θ (°) | intensity |
| --- | --- | --- |
| 1 1 1 | 23.04 | 24 |
| 2 0 0 | 26.66 | 1 |
| 2 2 0 | 38.07 | 100 |
| 3 1 1 | 44.96 | 13 |
| 4 0 0 | 54.93 | 17 |
| 3 3 1 | 60.34 | 5 |
| 4 2 2 | 68.78 | 34 |
| 5 1 1 | 73.61 | 4 |
| 4 4 0 | 81.42 | 11 |
| 5 3 1 | 86.02 | 4 |

=====

Entry 3:
Starting from a crystal structure in the Materials Project, relaxed with GGA-PBE, the powder X-ray diffraction pattern of Tl2FeCu3Se4 was simulated for Cu Kα.
Intensities are scaled so that the largest is 100.

Cell and atoms:
```
data_Tl2FeCu3Se4
_cell_length_a 3.9084
_cell_length_b 3.9084
_cell_length_c 14.4130
_cell_angle_alpha 90.00
_cell_angle_beta 90.00
_cell_angle_gamma 90.00
_space_group_name_H-M_alt 'P -4 m 2'
_space_group_IT_number 115
_space_group_name_Hall 'P -4 -2'
loop_
_atom_site_label
_atom_site_type_symbol
_atom_site_fract_x
_atom_site_fract_y
_atom_site_fract_z
_atom_site_occupancy
Tl1 Tl 0.0000 0.5000 0.2400 1
Fe1 Fe 0.0000 0.0000 0.5000 1
Cu1 Cu 0.0000 0.0000 0.0000 1
Cu2 Cu 0.5000 0.5000 0.0000 1
Cu3 Cu 0.5000 0.5000 0.5000 1
Se1 Se 0.0000 0.5000 0.6050 1
Se2 Se 0.0000 0.5000 0.8922 1
```

Largest 10 diffraction maxima, by angle, 2θ from 10° to 90°:
| index | 2θ (°) | intensity |
| --- | --- | --- |
| 1 0 1 | 23.59 | 14 |
| 0 0 4 | 24.71 | 11 |
| 1 0 3 | 29.46 | 100 |
| 1 1 0 | 32.39 | 17 |
| 1 1 2 | 34.77 | 48 |
| 1 0 5 | 38.82 | 20 |
| 2 0 0 | 46.47 | 30 |
| 1 1 6 | 50.33 | 35 |
| 2 1 3 | 55.98 | 33 |
| 3 1 6 | 89.09 | 14 |

=====

Entry 4:
Starting from a crystal structure in the Materials Project, relaxed with GGA-PBE, the powder X-ray diffraction pattern of SnI2 was simulated for Cu Kα.
Intensities are scaled so that the largest is 100.

Cell and atoms:
```
data_SnI2
_cell_length_a 14.8318
_cell_length_b 4.5117
_cell_length_c 11.1665
_cell_angle_alpha 90.00
_cell_angle_beta 91.80
_cell_angle_gamma 90.00
_space_group_name_H-M_alt 'C 1 2/m 1'
_space_group_IT_number 12
_space_group_name_Hall '-C 2y'
loop_
_atom_site_label
_atom_site_type_symbol
_atom_site_fract_x
_atom_site_fract_y
_atom_site_fract_z
_atom_site_occupancy
Sn1 Sn 0.0000 0.0000 0.0000 1
Sn2 Sn 0.2324 0.5000 0.6890 1
I1 I 0.0855 0.0000 0.7349 1
I2 I 0.1416 0.5000 0.0810 1
I3 I 0.1433 0.5000 0.4397 1
```

Largest 10 diffraction maxima, by angle, 2θ from 10° to 90°:
| index | 2θ (°) | intensity |
| --- | --- | --- |
| 1 1 -2 | 25.98 | 51 |
| 2 0 -3 | 26.47 | 55 |
| 3 1 0 | 26.76 | 100 |
| 2 0 3 | 27.16 | 64 |
| 3 1 -1 | 27.78 | 51 |
| 3 1 1 | 28.11 | 86 |
| 3 1 -2 | 30.97 | 48 |
| 1 1 3 | 31.90 | 49 |
| 6 0 -2 | 39.41 | 40 |
| 0 2 0 | 39.97 | 52 |

=====

Entry 5:
Starting from a crystal structure in the Materials Project, relaxed with GGA-PBE, the powder X-ray diffraction pattern of Mg6CrFe was simulated for Cu Kα.
Intensities are scaled so that the largest is 100.

Cell and atoms:
```
data_Mg6CrFe
_cell_length_a 4.8609
_cell_length_b 6.1441
_cell_length_c 10.4271
_cell_angle_alpha 90.00
_cell_angle_beta 90.00
_cell_angle_gamma 90.00
_space_group_name_H-M_alt 'A m m 2'
_space_group_IT_number 38
_space_group_name_Hall 'A 2 -2'
loop_
_atom_site_label
_atom_site_type_symbol
_atom_site_fract_x
_atom_site_fract_y
_atom_site_fract_z
_atom_site_occupancy
Mg1 Mg 0.0000 0.0000 0.0000 1
Mg2 Mg 0.0000 0.0000 0.4972 1
Mg3 Mg 0.0000 0.2460 0.2373 1
Mg4 Mg 0.5000 0.2496 0.4096 1
Cr1 Cr 0.5000 0.0000 0.6607 1
Fe1 Fe 0.5000 0.0000 0.1607 1
```

Largest 10 diffraction maxima, by angle, 2θ from 10° to 90°:
| index | 2θ (°) | intensity |
| --- | --- | --- |
| 0 0 2 | 17.01 | 18 |
| 0 2 2 | 33.87 | 27 |
| 0 0 4 | 34.40 | 14 |
| 2 0 0 | 36.99 | 37 |
| 1 2 2 | 38.74 | 100 |
| 1 0 4 | 39.22 | 47 |
| 2 2 2 | 51.02 | 16 |
| 0 2 6 | 61.28 | 15 |
| 3 2 2 | 67.82 | 17 |
| 2 2 6 | 73.78 | 17 |